This entry pairs a crystal structure of CeCo4Cu with its calculated powder diffractogram. Radiation: copper Kα. Structure: DFT lattice parameters and positions (GGA-PBE).

Top 10 peaks for 2θ from 15° to 90°, sorted by position:
Position (°2θ)	I (rel.)	(hkl)
30.47	43	1 0 1
36.47	32	1 1 0
42.36	32	2 0 0
43.00	100	1 1 1
44.88	28	0 0 2
59.15	15	1 1 2
63.42	18	2 0 2
70.14	22	3 0 1
77.48	15	2 2 0
81.47	14	1 1 3

Structure:
```
6
Lattice="4.9276 0.0000 0.0000 -2.4638 4.2674 0.0000 0.0000 0.0000 4.0389" Properties=species:S:1:pos:R:3 pbc="T T T"
Ce 0.0000 0.0000 0.0000
Co 3.6939 2.1327 2.0195
Co 2.4638 0.0021 2.0195
Co 1.2337 2.1327 2.0195
Co 2.4638 1.4225 0.0000
Cu 0.0000 2.8449 0.0000
```